# Fe4O5F3
Theoretical powder diffractogram, Cu Kα (λ = 1.5418 Å). Input: a PBE+U-relaxed structure.
No peak broadening, texture or thermal motion is included.

Most intense lines, 2θ = 10–80°, sorted by position:
two_theta	Rel. int.	index
26.28	94.5	1 0 -2
27.49	91.4	1 0 2
35.03	100.0	0 2 2
39.68	17.6	1 2 -2
52.25	53.0	1 2 -4
53.62	53.3	2 2 2
67.18	28.5	3 2 0
67.34	17.5	0 2 6

Atomic structure:
```
data_Fe4O5F3
_chemical_formula_sum 'Fe8 O10 F6'
_cell_length_a 4.6989
_cell_length_b 6.1177
_cell_length_c 9.3766
_cell_angle_alpha 90.00
_cell_angle_beta 92.53
_cell_angle_gamma 90.00
_space_group_name_H-M_alt 'P 1 c 1'
_space_group_IT_number 7
loop_
_space_group_symop_operation_xyz
'x,y,z'
'x,-y,z+1/2'
loop_
_atom_site_label
_atom_site_fract_x
_atom_site_fract_y
_atom_site_fract_z
_atom_site_occupancy
Fe1 0.0000 0.0017 0.0000 1
Fe2 0.0671 0.4895 0.9663 1
Fe3 0.5106 0.2499 0.2197 1
Fe4 0.5241 0.2502 0.7301 1
O1 0.2146 0.2460 0.0757 1
O2 0.2218 0.2541 0.5769 1
O3 0.3500 0.4968 0.8189 1
O4 0.7033 0.0072 0.6403 1
O5 0.8237 0.2463 0.8806 1
F1 0.3183 0.0090 0.3312 1
F2 0.7292 0.4966 0.1256 1
F3 0.8300 0.2534 0.3778 1
```